This entry pairs a crystal structure of Er2Sn5 with its computed powder diffractogram. Radiation: Cu Kα, 1.54184 Å. Structure: a crystal structure in the Materials Project, relaxed with PBE.
Peak positions follow from Bragg's law for the DFT cell and can differ from measured ones.

Structure:
```
14
Lattice="4.3876 0.0000 0.0000 0.0000 4.4227 0.0000 0.0000 0.0000 19.1105" Properties=species:S:1:pos:R:3 pbc="T T T"
Er 1.0969 1.1057 2.4633
Er 1.0969 3.3170 13.3859
Er 3.2907 1.1057 5.7246
Er 3.2907 3.3170 16.6472
Sn 1.0969 1.1057 8.0865
Sn 1.0969 1.1057 11.0219
Sn 1.0969 1.1057 16.0700
Sn 1.0969 3.3170 0.0101
Sn 1.0969 3.3170 5.1102
Sn 3.2907 1.1057 14.0003
Sn 3.2907 1.1057 19.1003
Sn 3.2907 3.3170 3.0405
Sn 3.2907 3.3170 8.0886
Sn 3.2907 3.3170 11.0240
```

Most intense lines, 2θ = 10–90°, low angle first:
2theta  d (Å)  I_rel
30.2  2.961  16
32.0  2.798  100
32.8  2.730  47
34.4  2.609  96
40.8  2.211  35
41.1  2.194  35
53.3  1.718  24
53.6  1.710  24
59.3  1.557  24
69.5  1.353  22

This entry pairs a crystal structure of Er3Sn with its computed powder diffractogram. Radiation: Cu Kα, 1.54184 Å. Structure: a crystal structure in the Materials Project, relaxed with PBE.
Peak positions follow from Bragg's law for the DFT cell and can differ from measured ones.

Structure:
```
8
Lattice="4.6388 0.0000 0.0000 0.0000 4.6388 0.0000 0.0000 0.0000 10.2554" Properties=species:S:1:pos:R:3 pbc="T T T"
Er 0.0000 0.0000 0.0000
Er 0.0000 2.3194 2.5639
Er 0.0000 2.3194 7.6916
Er 2.3194 0.0000 2.5639
Er 2.3194 0.0000 7.6916
Er 2.3194 2.3194 5.1277
Sn 0.0000 0.0000 5.1277
Sn 2.3194 2.3194 0.0000
```

Most intense lines, 2θ = 10–90°, low angle first:
2theta  d (Å)  I_rel
32.4  2.763  100
35.0  2.564  20
38.8  2.319  31
53.3  1.720  25
56.1  1.640  11
61.1  1.516  16
66.3  1.410  26
67.8  1.382  12
86.8  1.122  6
87.7  1.113  13

This entry pairs a crystal structure of Er3Sn7 with its computed powder diffractogram. Radiation: Cu Kα, 1.54184 Å. Structure: a crystal structure in the Materials Project, relaxed with PBE.
Peak positions follow from Bragg's law for the DFT cell and can differ from measured ones.

Structure:
```
10
Lattice="1.5581 -14.7438 0.0000 1.5581 14.7438 0.0000 0.0000 0.0000 5.8607" Properties=species:S:1:pos:R:3 pbc="T T T"
Er 0.0000 0.0000 0.0000
Er 1.5581 5.8218 2.9304
Er 1.5581 -5.8218 2.9304
Sn 1.5581 11.7872 2.9304
Sn 1.5581 8.8165 0.0000
Sn 1.5581 2.9026 0.0000
Sn 1.5581 0.0000 2.9304
Sn 1.5581 -2.9026 0.0000
Sn 1.5581 -8.8165 0.0000
Sn 1.5581 -11.7872 2.9304
```

Most intense lines, 2θ = 10–90°, low angle first:
2theta  d (Å)  I_rel
30.3  2.949  39
30.5  2.930  39
36.0  2.493  100
43.5  2.079  29
57.6  1.600  26
57.9  1.594  26
68.1  1.378  8
68.2  1.376  8
75.0  1.266  12
76.4  1.247  12

This entry pairs a crystal structure of Er11Sn10 with its computed powder diffractogram. Radiation: Cu Kα, 1.54184 Å. Structure: a crystal structure in the Materials Project, relaxed with PBE.
Peak positions follow from Bragg's law for the DFT cell and can differ from measured ones.

Structure:
```
42
Lattice="-5.7837 5.7837 8.4630 5.7837 -5.7837 8.4630 5.7837 5.7837 -8.4630" Properties=species:S:1:pos:R:3 pbc="T T T"
Er 5.7837 2.8667 -3.1913
Er 3.8120 0.0000 1.7301
Er 7.7554 0.0000 1.7301
Er 0.0000 0.0000 2.7772
Er 5.7837 -1.9717 6.7329
Er 2.8667 5.7837 -3.1913
Er 2.9170 0.0000 5.2717
Er 3.7619 3.7619 0.0000
Er 2.0218 -2.0218 8.4630
Er 0.0000 3.8120 1.7301
Er 5.7837 2.8667 3.1913
Er 0.0000 2.9170 5.2717
Er 5.7837 1.9717 6.7329
Er -2.0218 2.0218 8.4630
Er 2.0218 2.0218 8.4630
Er 2.8667 5.7837 3.1913
Er 2.9170 0.0000 11.6543
Er 0.0000 7.7554 1.7301
Er 0.0000 0.0000 14.1488
Er -1.9717 5.7837 6.7329
Er 1.9717 5.7837 6.7329
Er 0.0000 2.9170 11.6543
Sn 2.3885 2.3885 -2.9699
Sn 3.3952 -3.3952 5.4931
Sn 1.4980 1.4980 0.0000
Sn 4.2857 -4.2857 8.4630
Sn 5.7837 1.6645 0.0000
Sn 5.7837 0.0000 4.2315
Sn 2.3885 2.3885 2.9699
Sn 3.3952 -3.3952 11.4329
Sn 0.0000 0.0000 6.5554
Sn 1.6645 5.7837 0.0000
Sn 4.1192 0.0000 8.4630
Sn 0.0000 0.0000 10.3706
Sn -3.3952 3.3952 5.4931
Sn 3.3952 3.3952 5.4931
Sn 0.0000 5.7837 4.2315
Sn 0.0000 4.1192 8.4630
Sn -4.2857 4.2857 8.4630
Sn 4.2857 4.2857 8.4630
Sn -3.3952 3.3952 11.4329
Sn 3.3952 3.3952 11.4329
```

Most intense lines, 2θ = 10–90°, low angle first:
2theta  d (Å)  I_rel
30.9  2.892  36
31.6  2.833  90
32.1  2.789  100
32.4  2.767  53
32.7  2.736  53
32.8  2.726  75
35.3  2.544  50
42.2  2.141  25
47.1  1.929  31
64.8  1.438  34

This entry pairs a crystal structure of ErSn2 with its computed powder diffractogram. Radiation: Cu Kα, 1.54184 Å. Structure: a crystal structure in the Materials Project, relaxed with PBE.
Peak positions follow from Bragg's law for the DFT cell and can differ from measured ones.

Structure:
```
12
Lattice="4.4030 0.0000 0.0000 0.0000 16.2719 0.0000 0.0000 0.0000 4.3547" Properties=species:S:1:pos:R:3 pbc="T T T"
Er 0.0000 1.6049 1.0887
Er 0.0000 14.6670 3.2661
Er 2.2015 6.5311 3.2661
Er 2.2015 9.7409 1.0887
Sn 0.0000 4.0687 3.2661
Sn 0.0000 7.0926 1.0887
Sn 0.0000 9.1794 3.2661
Sn 0.0000 12.2032 1.0887
Sn 2.2015 1.0434 3.2661
Sn 2.2015 4.0672 1.0887
Sn 2.2015 12.2047 3.2661
Sn 2.2015 15.2286 1.0887
```

Most intense lines, 2θ = 10–90°, low angle first:
2theta  d (Å)  I_rel
33.0  2.712  20
33.3  2.689  100
41.0  2.202  15
41.5  2.177  15
53.6  1.709  11
54.0  1.698  10
59.2  1.561  10
59.7  1.548  10
69.8  1.347  12
70.5  1.336  13

This entry pairs a crystal structure of ErZnSn with its computed powder diffractogram. Radiation: Cu Kα, 1.54184 Å. Structure: a crystal structure in the Materials Project, relaxed with PBE.
Peak positions follow from Bragg's law for the DFT cell and can differ from measured ones.

Structure:
```
12
Lattice="4.5221 0.0000 0.0000 -2.2610 3.9162 0.0000 0.0000 0.0000 15.3545" Properties=species:S:1:pos:R:3 pbc="T T T"
Er 0.0000 0.0000 0.0000
Er 0.0000 0.0000 3.8386
Er 0.0000 0.0000 7.6773
Er 0.0000 0.0000 11.5159
Zn 0.0000 2.6108 2.4373
Zn 0.0000 2.6108 5.2400
Zn 2.2610 1.3054 10.1145
Zn 2.2610 1.3054 12.9172
Sn 0.0000 2.6108 9.4109
Sn 0.0000 2.6108 13.6209
Sn 2.2610 1.3054 1.7336
Sn 2.2610 1.3054 5.9436
```

Most intense lines, 2θ = 10–90°, low angle first:
2theta  d (Å)  I_rel
22.7  3.916  10
28.7  3.110  15
32.7  2.741  100
39.9  2.261  61
47.5  1.914  12
52.5  1.744  26
63.6  1.463  16
67.9  1.381  25
72.4  1.305  11
86.0  1.131  7